1.
This entry pairs a crystal structure of Nd4Dy3Sn4 with its calculated powder diffractogram. Radiation: CuKα. Structure: the GGA-PBE geometry in Alexandria.

The 10 most intense peaks (10 to 90 degrees two-theta), in order of rising 2θ:
| 2theta | I/Imax |
| --- | --- |
| 28.7 | 33 |
| 31.1 | 84 |
| 31.6 | 100 |
| 32.7 | 81 |
| 33.6 | 48 |
| 34.0 | 33 |
| 34.3 | 42 |
| 38.9 | 32 |
| 47.5 | 30 |
| 57.6 | 38 |

Cell and atoms:
a b c (Å): 10.885 10.885 10.885
angles (deg): 161.16 127.36 56.41
Element x y z (fractional)
Nd1 0.013 0.837 0.176
Nd2 0.340 0.163 0.176
Nd3 0.660 0.837 0.824
Nd4 0.987 0.163 0.824
Dy1 0.000 0.500 0.500
Dy2 0.410 0.410 0.000
Dy3 0.590 0.590 0.000
Sn1 0.277 0.777 0.500
Sn2 0.279 0.000 0.279
Sn3 0.721 0.000 0.721
Sn4 0.723 0.223 0.500



2.
This entry pairs a crystal structure of SrNd14Dy with its calculated powder diffractogram. Radiation: CuKα. Structure: the GGA-PBE geometry in Alexandria.

The 10 most intense peaks (10 to 90 degrees two-theta), in order of rising 2θ:
| 2theta | I/Imax |
| --- | --- |
| 29.6 | 100 |
| 34.2 | 34 |
| 34.5 | 17 |
| 49.1 | 12 |
| 49.4 | 24 |
| 58.4 | 29 |
| 58.8 | 14 |
| 61.4 | 12 |
| 79.7 | 6 |
| 80.1 | 11 |

Cell and atoms:
a b c (Å): 7.421 7.421 10.395
angles (deg): 90.00 90.00 90.00
Element x y z (fractional)
Sr1 0.000 0.000 0.000
Nd1 0.000 0.000 0.500
Nd2 0.000 0.500 0.000
Nd3 0.000 0.500 0.500
Nd4 0.256 0.256 0.254
Nd5 0.256 0.256 0.746
Nd6 0.256 0.744 0.254
Nd7 0.256 0.744 0.746
Nd8 0.500 0.000 0.000
Nd9 0.500 0.000 0.500
Nd10 0.500 0.500 0.500
Nd11 0.744 0.256 0.254
Nd12 0.744 0.256 0.746
Nd13 0.744 0.744 0.254
Nd14 0.744 0.744 0.746
Dy1 0.500 0.500 0.000



3.
This entry pairs a crystal structure of TbNd5Dy2 with its calculated powder diffractogram. Radiation: CuKα. Structure: the GGA-PBE geometry in Alexandria.

The 8 most intense peaks (10 to 90 degrees two-theta), in order of rising 2θ:
| 2theta | I/Imax |
| --- | --- |
| 30.2 | 100 |
| 35.0 | 51 |
| 50.3 | 36 |
| 59.7 | 43 |
| 62.7 | 12 |
| 73.8 | 6 |
| 81.8 | 18 |
| 84.4 | 16 |

Cell and atoms:
a b c (Å): 7.256 14.519 5.137
angles (deg): 90.00 90.00 90.00
Element x y z (fractional)
Tb1 0.000 0.000 0.000
Tb2 0.500 0.500 0.000
Nd1 0.000 0.500 0.000
Nd2 0.001 0.249 0.000
Nd3 0.248 0.876 0.500
Nd4 0.252 0.376 0.500
Nd5 0.499 0.749 0.000
Nd6 0.500 0.000 0.000
Nd7 0.501 0.251 0.000
Nd8 0.748 0.624 0.500
Nd9 0.752 0.124 0.500
Nd10 0.999 0.751 0.000
Dy1 0.249 0.624 0.500
Dy2 0.251 0.124 0.500
Dy3 0.749 0.876 0.500
Dy4 0.751 0.376 0.500



4.
This entry pairs a crystal structure of Tb6Nd12Dy with its calculated powder diffractogram. Radiation: CuKα. Structure: the GGA-PBE geometry in Alexandria.

The 10 most intense peaks (10 to 90 degrees two-theta), in order of rising 2θ:
| 2theta | I/Imax |
| --- | --- |
| 20.7 | 13 |
| 28.2 | 41 |
| 29.0 | 11 |
| 30.2 | 14 |
| 31.8 | 100 |
| 33.0 | 59 |
| 35.2 | 37 |
| 51.4 | 24 |
| 60.3 | 15 |
| 62.5 | 23 |

Cell and atoms:
a b c (Å): 9.285 9.285 9.285
angles (deg): 106.67 106.67 106.67
Element x y z (fractional)
Tb1 0.048 0.308 0.420
Tb2 0.308 0.420 0.048
Tb3 0.420 0.048 0.308
Tb4 0.580 0.952 0.692
Tb5 0.692 0.580 0.952
Tb6 0.952 0.692 0.580
Nd1 0.015 0.917 0.308
Nd2 0.083 0.692 0.985
Nd3 0.221 0.675 0.370
Nd4 0.308 0.015 0.917
Nd5 0.325 0.630 0.779
Nd6 0.370 0.221 0.675
Nd7 0.630 0.779 0.325
Nd8 0.675 0.370 0.221
Nd9 0.692 0.985 0.083
Nd10 0.779 0.325 0.630
Nd11 0.917 0.308 0.015
Nd12 0.985 0.083 0.692
Dy1 0.500 0.500 0.500



5.
This entry pairs a crystal structure of TbNd2Dy with its calculated powder diffractogram. Radiation: CuKα. Structure: the GGA-PBE geometry in Alexandria.

The 6 most intense peaks (10 to 90 degrees two-theta), in order of rising 2θ:
| 2theta | I/Imax |
| --- | --- |
| 31.1 | 100 |
| 44.6 | 19 |
| 55.4 | 39 |
| 64.9 | 12 |
| 73.7 | 17 |
| 82.1 | 4 |

Cell and atoms:
a b c (Å): 8.130 8.130 8.130
angles (deg): 90.00 90.00 90.00
Element x y z (fractional)
Tb1 0.000 0.000 0.000
Tb2 0.000 0.500 0.500
Tb3 0.500 0.000 0.500
Tb4 0.500 0.500 0.000
Nd1 0.250 0.250 0.250
Nd2 0.250 0.250 0.750
Nd3 0.250 0.750 0.250
Nd4 0.250 0.750 0.750
Nd5 0.750 0.250 0.250
Nd6 0.750 0.250 0.750
Nd7 0.750 0.750 0.250
Nd8 0.750 0.750 0.750
Dy1 0.000 0.000 0.500
Dy2 0.000 0.500 0.000
Dy3 0.500 0.000 0.000
Dy4 0.500 0.500 0.500



6.
This entry pairs a crystal structure of Tb4Nd7Dy with its calculated powder diffractogram. Radiation: CuKα. Structure: the GGA-PBE geometry in Alexandria.

The 10 most intense peaks (10 to 90 degrees two-theta), in order of rising 2θ:
| 2theta | I/Imax |
| --- | --- |
| 28.4 | 36 |
| 29.0 | 16 |
| 30.5 | 50 |
| 31.3 | 100 |
| 33.0 | 88 |
| 49.8 | 39 |
| 53.7 | 22 |
| 56.9 | 19 |
| 59.6 | 38 |
| 60.0 | 16 |

Cell and atoms:
a b c (Å): 6.347 7.314 9.036
angles (deg): 90.03 103.59 90.04
Element x y z (fractional)
Tb1 0.220 0.000 0.166
Tb2 0.278 0.249 0.832
Tb3 0.722 0.751 0.168
Tb4 0.780 0.000 0.834
Nd1 0.000 0.000 0.500
Nd2 0.221 0.500 0.166
Nd3 0.280 0.751 0.834
Nd4 0.500 0.248 0.501
Nd5 0.500 0.752 0.499
Nd6 0.720 0.249 0.166
Nd7 0.779 0.500 0.834
Dy1 0.000 0.500 0.500



7.
This entry pairs a crystal structure of Tb3NdDy2 with its calculated powder diffractogram. Radiation: CuKα. Structure: the GGA-PBE geometry in Alexandria.

The 10 most intense peaks (10 to 90 degrees two-theta), in order of rising 2θ:
| 2theta | I/Imax |
| --- | --- |
| 30.6 | 100 |
| 35.5 | 51 |
| 51.1 | 36 |
| 60.8 | 32 |
| 60.9 | 11 |
| 63.8 | 12 |
| 83.3 | 6 |
| 83.4 | 12 |
| 86.0 | 6 |
| 86.1 | 8 |

Cell and atoms:
a b c (Å): 9.460 9.460 6.184
angles (deg): 90.09 90.09 44.37
Element x y z (fractional)
Tb1 0.124 0.876 0.750
Tb2 0.207 0.457 0.585
Tb3 0.457 0.207 0.085
Tb4 0.543 0.793 0.915
Tb5 0.793 0.543 0.415
Tb6 0.876 0.124 0.250
Nd1 0.374 0.626 0.250
Nd2 0.626 0.374 0.750
Dy1 0.043 0.292 0.917
Dy2 0.292 0.043 0.417
Dy3 0.708 0.957 0.583
Dy4 0.957 0.708 0.083



8.
This entry pairs a crystal structure of Tb8Nd6Dy with its calculated powder diffractogram. Radiation: CuKα. Structure: the GGA-PBE geometry in Alexandria.

The 10 most intense peaks (10 to 90 degrees two-theta), in order of rising 2θ:
| 2theta | I/Imax |
| --- | --- |
| 30.1 | 20 |
| 31.0 | 100 |
| 32.0 | 30 |
| 32.3 | 8 |
| 34.5 | 11 |
| 36.3 | 15 |
| 39.3 | 6 |
| 52.4 | 11 |
| 54.6 | 9 |
| 59.5 | 11 |

Cell and atoms:
a b c (Å): 8.748 8.748 8.748
angles (deg): 63.16 63.16 63.16
Element x y z (fractional)
Tb1 0.077 0.077 0.077
Tb2 0.218 0.249 0.612
Tb3 0.249 0.612 0.218
Tb4 0.388 0.782 0.751
Tb5 0.612 0.218 0.249
Tb6 0.751 0.388 0.782
Tb7 0.782 0.751 0.388
Tb8 0.923 0.923 0.923
Nd1 0.038 0.730 0.602
Nd2 0.270 0.398 0.962
Nd3 0.398 0.962 0.270
Nd4 0.602 0.038 0.730
Nd5 0.730 0.602 0.038
Nd6 0.962 0.270 0.398
Dy1 0.500 0.500 0.500



9.
This entry pairs a crystal structure of Tb4Nd3Dy3 with its calculated powder diffractogram. Radiation: CuKα. Structure: the GGA-PBE geometry in Alexandria.

The 10 most intense peaks (10 to 90 degrees two-theta), in order of rising 2θ:
| 2theta | I/Imax |
| --- | --- |
| 29.8 | 65 |
| 30.6 | 31 |
| 32.0 | 100 |
| 38.6 | 10 |
| 39.2 | 9 |
| 46.5 | 12 |
| 49.1 | 13 |
| 55.3 | 18 |
| 58.1 | 8 |
| 58.5 | 24 |

Cell and atoms:
a b c (Å): 3.713 9.476 9.476
angles (deg): 89.70 90.00 90.00
Element x y z (fractional)
Tb1 0.000 0.000 0.000
Tb2 0.000 0.253 0.253
Tb3 0.000 0.505 0.755
Tb4 0.000 0.755 0.505
Nd1 0.500 0.300 0.953
Nd2 0.500 0.455 0.455
Nd3 0.500 0.953 0.300
Dy1 0.000 0.123 0.629
Dy2 0.000 0.629 0.123
Dy3 0.500 0.801 0.801



10.
This entry pairs a crystal structure of Tb7NdDy12 with its calculated powder diffractogram. Radiation: CuKα. Structure: the GGA-PBE geometry in Alexandria.

The 10 most intense peaks (10 to 90 degrees two-theta), in order of rising 2θ:
| 2theta | I/Imax |
| --- | --- |
| 15.7 | 23 |
| 22.3 | 18 |
| 27.4 | 71 |
| 31.8 | 100 |
| 45.6 | 74 |
| 54.0 | 32 |
| 56.6 | 26 |
| 73.3 | 13 |
| 75.5 | 33 |
| 84.3 | 25 |

Cell and atoms:
a b c (Å): 9.751 9.751 9.751
angles (deg): 109.47 109.47 109.47
Element x y z (fractional)
Tb1 0.000 0.000 0.500
Tb2 0.000 0.500 0.000
Tb3 0.000 0.500 0.500
Tb4 0.500 0.000 0.000
Tb5 0.500 0.000 0.500
Tb6 0.500 0.500 0.000
Tb7 0.500 0.500 0.500
Nd1 0.000 0.000 0.000
Dy1 0.000 0.253 0.747
Dy2 0.000 0.747 0.253
Dy3 0.253 0.000 0.747
Dy4 0.253 0.253 0.507
Dy5 0.253 0.507 0.253
Dy6 0.253 0.747 0.000
Dy7 0.493 0.747 0.747
Dy8 0.507 0.253 0.253
Dy9 0.747 0.000 0.253
Dy10 0.747 0.253 0.000
Dy11 0.747 0.493 0.747
Dy12 0.747 0.747 0.493



11.
This entry pairs a crystal structure of Tb2Nd3Dy5 with its calculated powder diffractogram. Radiation: CuKα. Structure: the GGA-PBE geometry in Alexandria.

The 10 most intense peaks (10 to 90 degrees two-theta), in order of rising 2θ:
| 2theta | I/Imax |
| --- | --- |
| 30.1 | 100 |
| 30.5 | 97 |
| 32.1 | 22 |
| 33.4 | 48 |
| 37.6 | 17 |
| 38.6 | 16 |
| 49.0 | 19 |
| 57.7 | 16 |
| 57.9 | 16 |
| 65.2 | 19 |

Cell and atoms:
a b c (Å): 9.656 9.656 9.429
angles (deg): 108.40 108.40 112.50
Element x y z (fractional)
Tb1 0.034 0.270 0.046
Tb2 0.270 0.034 0.546
Tb3 0.730 0.966 0.454
Tb4 0.966 0.730 0.954
Nd1 0.231 0.481 0.453
Nd2 0.266 0.734 0.250
Nd3 0.481 0.231 0.953
Nd4 0.519 0.769 0.047
Nd5 0.734 0.266 0.750
Nd6 0.769 0.519 0.547
Dy1 0.030 0.970 0.750
Dy2 0.124 0.353 0.728
Dy3 0.227 0.773 0.750
Dy4 0.353 0.124 0.228
Dy5 0.475 0.525 0.250
Dy6 0.525 0.475 0.750
Dy7 0.647 0.876 0.772
Dy8 0.773 0.227 0.250
Dy9 0.876 0.647 0.272
Dy10 0.970 0.030 0.250



12.
This entry pairs a crystal structure of Tb5Nd7Dy with its calculated powder diffractogram. Radiation: CuKα. Structure: the GGA-PBE geometry in Alexandria.

The 10 most intense peaks (10 to 90 degrees two-theta), in order of rising 2θ:
| 2theta | I/Imax |
| --- | --- |
| 26.9 | 35 |
| 30.4 | 74 |
| 30.5 | 49 |
| 30.8 | 53 |
| 31.0 | 97 |
| 31.4 | 29 |
| 34.4 | 100 |
| 35.0 | 35 |
| 55.5 | 34 |
| 56.6 | 45 |

Cell and atoms:
a b c (Å): 8.861 8.861 8.861
angles (deg): 135.23 99.99 96.69
Element x y z (fractional)
Tb1 0.000 0.000 0.000
Tb2 0.232 0.270 0.497
Tb3 0.232 0.735 0.961
Tb4 0.774 0.270 0.039
Tb5 0.774 0.735 0.503
Nd1 0.077 0.249 0.828
Nd2 0.420 0.249 0.172
Nd3 0.497 0.997 0.500
Nd4 0.498 0.498 0.000
Nd5 0.579 0.752 0.827
Nd6 0.807 0.307 0.500
Nd7 0.926 0.752 0.173
Dy1 0.187 0.687 0.500